1.
The following is a theoretical powder XRD pattern of HoAlPt3. It was derived from a crystal structure in Alexandria, relaxed with GGA-PBE, using Cu Kα X-rays.
Peak positions follow from Bragg's law for the DFT cell and can differ from measured ones.

Top 12 peaks for 10 to 80 degrees two-theta, sorted by position:
d 2.839, intensity 36
d 2.742, intensity 40
d 2.716, intensity 92
d 2.604, intensity 63
d 2.542, intensity 100
d 2.479, intensity 49
d 2.413, intensity 57
d 2.205, intensity 42
d 2.022, intensity 45
d 1.864, intensity 27
d 1.666, intensity 33
d 1.453, intensity 28

Cell lengths 6.0631, 6.4248, 5.0844 Å; angles 90.00, 90.00, 90.00 degrees
Atoms (fractional coordinates):
Ho1 0.0000 0.0000 0.0000
Ho2 0.5000 0.5000 0.0000
Al1 0.0000 0.5000 0.5000
Al2 0.5000 0.0000 0.5000
Pt1 0.0000 0.5000 0.0000
Pt2 0.1437 0.1561 0.5000
Pt3 0.3563 0.6561 0.5000
Pt4 0.5000 0.0000 0.0000
Pt5 0.6437 0.3439 0.5000
Pt6 0.8563 0.8439 0.5000

2.
The following is a theoretical powder XRD pattern of Ho3Al7Pt4. It was derived from a crystal structure in Alexandria, relaxed with GGA-PBE, using Cu Kα X-rays.
Peak positions follow from Bragg's law for the DFT cell and can differ from measured ones.

Top 12 peaks for 10 to 80 degrees two-theta, sorted by position:
d 3.862, intensity 56
d 3.330, intensity 78
d 3.291, intensity 55
d 3.006, intensity 62
d 2.689, intensity 45
d 2.563, intensity 69
d 2.530, intensity 100
d 2.511, intensity 85
d 2.496, intensity 48
d 2.120, intensity 75
d 2.048, intensity 40
d 1.349, intensity 39

Cell lengths 8.1144, 8.1144, 9.4622 Å; angles 123.89, 123.89, 30.30 degrees
Atoms (fractional coordinates):
Ho1 0.0000 0.0000 0.0000
Ho2 0.3068 0.3068 0.3031
Ho3 0.6932 0.6932 0.6969
Al1 0.0000 0.0000 0.5000
Al2 0.1548 0.1548 0.4235
Al3 0.3179 0.3179 0.9734
Al4 0.4952 0.4952 0.7053
Al5 0.5048 0.5048 0.2947
Al6 0.6821 0.6821 0.0266
Al7 0.8452 0.8452 0.5765
Pt1 0.1171 0.1171 0.8402
Pt2 0.3393 0.3393 0.7210
Pt3 0.6607 0.6607 0.2790
Pt4 0.8829 0.8829 0.1598

3.
The following is a theoretical powder XRD pattern of HoAl2Pt6. It was derived from a crystal structure in Alexandria, relaxed with GGA-PBE, using Cu Kα X-rays.
Peak positions follow from Bragg's law for the DFT cell and can differ from measured ones.

Top 12 peaks for 10 to 80 degrees two-theta, sorted by position:
d 5.818, intensity 16
d 3.312, intensity 11
d 3.280, intensity 16
d 2.809, intensity 11
d 2.544, intensity 62
d 2.358, intensity 100
d 2.222, intensity 16
d 2.014, intensity 27
d 1.873, intensity 11
d 1.596, intensity 12
d 1.235, intensity 15
d 1.219, intensity 24

Cell lengths 4.0283, 6.5667, 6.5667 Å; angles 117.63, 90.00, 90.00 degrees
Atoms (fractional coordinates):
Ho1 0.0000 0.0000 0.0000
Al1 0.5000 0.5494 0.8033
Al2 0.5000 0.8033 0.5494
Pt1 0.0000 0.1209 0.5270
Pt2 0.0000 0.5270 0.1209
Pt3 0.0000 0.5796 0.5796
Pt4 0.5000 0.2125 0.8584
Pt5 0.5000 0.3087 0.3087
Pt6 0.5000 0.8584 0.2125

4.
The following is a theoretical powder XRD pattern of Rb2HoAlTe4. It was derived from a crystal structure in Alexandria, relaxed with GGA-PBE, using Cu Kα X-rays.
Peak positions follow from Bragg's law for the DFT cell and can differ from measured ones.

Top 12 peaks for 10 to 80 degrees two-theta, sorted by position:
d 6.396, intensity 13
d 3.552, intensity 100
d 3.198, intensity 28
d 2.870, intensity 63
d 2.266, intensity 12
d 2.132, intensity 10
d 2.112, intensity 16
d 2.104, intensity 23
d 2.022, intensity 16
d 1.931, intensity 21
d 1.638, intensity 11
d 1.335, intensity 12

Cell lengths 9.0448, 9.0448, 7.4283 Å; angles 90.00, 90.00, 90.00 degrees
Atoms (fractional coordinates):
Rb1 0.0000 0.5000 0.0000
Rb2 0.0000 0.5000 0.5000
Rb3 0.5000 0.0000 0.0000
Rb4 0.5000 0.0000 0.5000
Ho1 0.0000 0.0000 0.0000
Ho2 0.5000 0.5000 0.5000
Al1 0.0000 0.0000 0.5000
Al2 0.5000 0.5000 0.0000
Te1 0.1658 0.1658 0.7214
Te2 0.1658 0.8342 0.2786
Te3 0.3342 0.3342 0.2214
Te4 0.3342 0.6658 0.7786
Te5 0.6658 0.3342 0.7786
Te6 0.6658 0.6658 0.2214
Te7 0.8342 0.1658 0.2786
Te8 0.8342 0.8342 0.7214

5.
The following is a theoretical powder XRD pattern of Ho2Al5Rh. It was derived from a crystal structure in Alexandria, relaxed with GGA-PBE, using Cu Kα X-rays.
Peak positions follow from Bragg's law for the DFT cell and can differ from measured ones.

Top 12 peaks for 10 to 80 degrees two-theta, sorted by position:
d 4.932, intensity 16
d 4.421, intensity 34
d 4.012, intensity 16
d 3.126, intensity 53
d 2.971, intensity 100
d 2.466, intensity 71
d 2.211, intensity 49
d 1.935, intensity 18
d 1.827, intensity 23
d 1.774, intensity 41
d 1.408, intensity 21
d 1.320, intensity 19

Cell lengths 6.2527, 6.2527, 8.0234 Å; angles 90.00, 90.00, 90.00 degrees
Atoms (fractional coordinates):
Ho1 0.0000 0.5000 0.0000
Ho2 0.0000 0.5000 0.5000
Ho3 0.5000 0.0000 0.0000
Ho4 0.5000 0.0000 0.5000
Al1 0.0000 0.0000 0.0219
Al2 0.2198 0.2198 0.7538
Al3 0.2198 0.7802 0.7538
Al4 0.2802 0.2802 0.2538
Al5 0.2802 0.7198 0.2538
Al6 0.5000 0.5000 0.5219
Al7 0.7198 0.2802 0.2538
Al8 0.7198 0.7198 0.2538
Al9 0.7802 0.2198 0.7538
Al10 0.7802 0.7802 0.7538
Rh1 0.0000 0.0000 0.3291
Rh2 0.5000 0.5000 0.8291

6.
The following is a theoretical powder XRD pattern of Ho2AlRh2. It was derived from a crystal structure in Alexandria, relaxed with GGA-PBE, using Cu Kα X-rays.
Peak positions follow from Bragg's law for the DFT cell and can differ from measured ones.

Top 12 peaks for 10 to 80 degrees two-theta, sorted by position:
d 3.361, intensity 62
d 2.738, intensity 53
d 2.625, intensity 40
d 2.552, intensity 56
d 2.498, intensity 37
d 2.446, intensity 100
d 2.350, intensity 98
d 2.323, intensity 26
d 2.283, intensity 65
d 2.185, intensity 50
d 2.066, intensity 24
d 1.434, intensity 33

Cell lengths 5.7473, 5.7473, 7.5419 Å; angles 102.86, 102.86, 56.57 degrees
Atoms (fractional coordinates):
Ho1 0.0033 0.2913 0.1494
Ho2 0.2913 0.0033 0.6494
Ho3 0.7087 0.9967 0.3506
Ho4 0.9967 0.7087 0.8506
Al1 0.3653 0.6347 0.2500
Al2 0.6347 0.3653 0.7500
Rh1 0.2313 0.5063 0.4931
Rh2 0.4937 0.7687 0.0069
Rh3 0.5063 0.2313 0.9931
Rh4 0.7687 0.4937 0.5069

7.
The following is a theoretical powder XRD pattern of Ho2Al6Rh. It was derived from a crystal structure in Alexandria, relaxed with GGA-PBE, using Cu Kα X-rays.
Peak positions follow from Bragg's law for the DFT cell and can differ from measured ones.

Top 12 peaks for 10 to 80 degrees two-theta, sorted by position:
d 5.887, intensity 67
d 3.807, intensity 63
d 2.882, intensity 81
d 2.589, intensity 100
d 2.535, intensity 91
d 2.298, intensity 70
d 1.904, intensity 22
d 1.826, intensity 29
d 1.601, intensity 23
d 1.589, intensity 41
d 1.441, intensity 24
d 1.360, intensity 24

Cell lengths 5.7646, 5.7646, 5.8867 Å; angles 90.00, 90.00, 120.00 degrees
Atoms (fractional coordinates):
Ho1 0.3333 0.6667 0.3647
Ho2 0.6667 0.3333 0.6353
Al1 0.1718 0.3436 0.8175
Al2 0.1718 0.8282 0.8175
Al3 0.3436 0.1718 0.1825
Al4 0.6564 0.8282 0.8175
Al5 0.8282 0.1718 0.1825
Al6 0.8282 0.6564 0.1825
Rh1 0.0000 0.0000 0.5000

8.
The following is a theoretical powder XRD pattern of Ho3Al3Ru2. It was derived from a crystal structure in Alexandria, relaxed with GGA-PBE, using Cu Kα X-rays.
Peak positions follow from Bragg's law for the DFT cell and can differ from measured ones.

Top 12 peaks for 10 to 80 degrees two-theta, sorted by position:
d 3.819, intensity 51
d 3.407, intensity 65
d 3.094, intensity 41
d 2.935, intensity 57
d 2.685, intensity 71
d 2.655, intensity 100
d 2.544, intensity 78
d 2.434, intensity 79
d 2.382, intensity 72
d 2.307, intensity 70
d 2.202, intensity 36
d 1.696, intensity 51

Cell lengths 7.5495, 15.2765, 5.7716 Å; angles 90.00, 90.00, 90.00 degrees
Atoms (fractional coordinates):
Ho1 0.0349 0.1083 0.1016
Ho2 0.0349 0.3917 0.1016
Ho3 0.1716 0.2500 0.6310
Ho4 0.3284 0.7500 0.1310
Ho5 0.4651 0.6083 0.6016
Ho6 0.4651 0.8917 0.6016
Ho7 0.5349 0.1083 0.3984
Ho8 0.5349 0.3917 0.3984
Ho9 0.6716 0.2500 0.8690
Ho10 0.8284 0.7500 0.3690
Ho11 0.9651 0.6083 0.8984
Ho12 0.9651 0.8917 0.8984
Al1 0.1599 0.0338 0.5902
Al2 0.1599 0.4662 0.5902
Al3 0.1729 0.7500 0.6200
Al4 0.3271 0.2500 0.1200
Al5 0.3401 0.5338 0.0902
Al6 0.3401 0.9662 0.0902
Al7 0.6599 0.0338 0.9098
Al8 0.6599 0.4662 0.9098
Al9 0.6729 0.7500 0.8800
Al10 0.8271 0.2500 0.3800
Al11 0.8401 0.5338 0.4098
Al12 0.8401 0.9662 0.4098
Ru1 0.1356 0.6083 0.3662
Ru2 0.1356 0.8917 0.3662
Ru3 0.3644 0.1083 0.8662
Ru4 0.3644 0.3917 0.8662
Ru5 0.6356 0.6083 0.1338
Ru6 0.6356 0.8917 0.1338
Ru7 0.8644 0.1083 0.6338
Ru8 0.8644 0.3917 0.6338

9.
The following is a theoretical powder XRD pattern of Ho7AlS5. It was derived from a crystal structure in Alexandria, relaxed with GGA-PBE, using Cu Kα X-rays.
Peak positions follow from Bragg's law for the DFT cell and can differ from measured ones.

Top 12 peaks for 10 to 80 degrees two-theta, sorted by position:
d 3.347, intensity 28
d 3.201, intensity 29
d 3.128, intensity 67
d 2.955, intensity 100
d 2.796, intensity 90
d 2.700, intensity 52
d 2.651, intensity 30
d 1.953, intensity 45
d 1.937, intensity 32
d 1.881, intensity 28
d 1.662, intensity 33
d 1.620, intensity 34

Cell lengths 6.7478, 6.7478, 23.2564 Å; angles 90.02, 90.02, 33.36 degrees
Atoms (fractional coordinates):
Ho1 0.0199 0.0199 0.2500
Ho2 0.1373 0.1373 0.5355
Ho3 0.1366 0.1366 0.9645
Ho4 0.3186 0.3186 0.3250
Ho5 0.3196 0.3196 0.1749
Ho6 0.4064 0.4064 0.8874
Ho7 0.4073 0.4073 0.6125
Ho8 0.5927 0.5927 0.3875
Ho9 0.5936 0.5936 0.1126
Ho10 0.6804 0.6804 0.8251
Ho11 0.6814 0.6814 0.6750
Ho12 0.8634 0.8634 0.0355
Ho13 0.8627 0.8627 0.4645
Ho14 0.9801 0.9801 0.7500
Al1 0.3049 0.3049 0.7502
Al2 0.6951 0.6951 0.2498
S1 0.0467 0.0467 0.6397
S2 0.0470 0.0470 0.8603
S3 0.2259 0.2259 0.0707
S4 0.2263 0.2263 0.4293
S5 0.5000 0.5000 0.0000
S6 0.5000 0.5000 0.5000
S7 0.7737 0.7737 0.5707
S8 0.7741 0.7741 0.9293
S9 0.9530 0.9530 0.1397
S10 0.9533 0.9533 0.3603

10.
The following is a theoretical powder XRD pattern of Ho5AlS4. It was derived from a crystal structure in Alexandria, relaxed with GGA-PBE, using Cu Kα X-rays.
Peak positions follow from Bragg's law for the DFT cell and can differ from measured ones.

Top 12 peaks for 10 to 80 degrees two-theta, sorted by position:
d 3.286, intensity 34
d 3.257, intensity 33
d 3.192, intensity 64
d 2.818, intensity 52
d 2.788, intensity 100
d 2.009, intensity 18
d 1.988, intensity 37
d 1.976, intensity 36
d 1.936, intensity 17
d 1.696, intensity 15
d 1.596, intensity 19
d 1.394, intensity 11

Cell lengths 6.9054, 6.9054, 9.8576 Å; angles 118.65, 118.65, 32.57 degrees
Atoms (fractional coordinates):
Ho1 0.0000 0.0000 0.0000
Ho2 0.1992 0.1992 0.8051
Ho3 0.3919 0.3919 0.6037
Ho4 0.6081 0.6081 0.3963
Ho5 0.8008 0.8008 0.1949
Al1 0.0000 0.0000 0.5000
S1 0.1993 0.1993 0.2904
S2 0.4006 0.4006 0.0956
S3 0.5994 0.5994 0.9044
S4 0.8007 0.8007 0.7096